Starting from a GGA-PBE-relaxed structure, the powder diffraction line list of Ba4Sn9Bi3 was simulated for Cu Kα X-rays.

Structure:
a = 7.411 Å, b = 7.411 Å, c = 22.391 Å
α = 90.00°, β = 90.00°, γ = 120.00°
Positions (direct):
1 Ba 0.000 0.000 0.000
2 Ba 0.000 0.000 0.250
3 Ba 0.000 0.000 0.500
4 Ba 0.000 0.000 0.750
5 Ba 0.333 0.667 0.137
6 Ba 0.333 0.667 0.363
7 Ba 0.667 0.333 0.637
8 Ba 0.667 0.333 0.863
9 Sn 0.059 0.530 0.750
10 Sn 0.194 0.388 0.625
11 Sn 0.194 0.388 0.875
12 Sn 0.194 0.806 0.625
13 Sn 0.194 0.806 0.875
14 Sn 0.388 0.194 0.125
15 Sn 0.388 0.194 0.375
16 Sn 0.470 0.530 0.750
17 Sn 0.470 0.941 0.750
18 Sn 0.530 0.059 0.250
19 Sn 0.530 0.470 0.250
20 Sn 0.612 0.806 0.625
21 Sn 0.612 0.806 0.875
22 Sn 0.806 0.194 0.125
23 Sn 0.806 0.194 0.375
24 Sn 0.806 0.612 0.125
25 Sn 0.806 0.612 0.375
26 Sn 0.941 0.470 0.250
27 Bi 0.000 0.500 0.000
28 Bi 0.000 0.500 0.500
29 Bi 0.500 0.000 0.000
30 Bi 0.500 0.000 0.500
31 Bi 0.500 0.500 0.000
32 Bi 0.500 0.500 0.500

The 6 most intense peaks (10° ≤ 2θ ≤ 90°), in order of rising 2θ:
| (hkl) | 2θ (°) | d (Å) | I (rel.) |
| --- | --- | --- | --- |
| 2 0 1 | 28.09 | 3.177 | 16 |
| 0 0 8 | 31.98 | 2.799 | 30 |
| 2 0 4 | 32.15 | 2.784 | 100 |
| 2 2 0 | 49.18 | 1.853 | 20 |
| 2 0 12 | 57.10 | 1.613 | 19 |
| 2 2 8 | 59.87 | 1.545 | 21 |